# 1
# Ac8Sm3Er
Simulated X-ray powder pattern, λ = 1.5418 Å (Cu Kα). Input: DFT lattice parameters and positions (PBE).
Peak positions follow from Bragg's law for the DFT cell and can differ from measured ones.

Peak list (8 most intense, 10 to 80 degrees two-theta, low angle first)
(2 0 -2), 2θ 26.47, intensity 25
(0 4 0), 2θ 28.59, intensity 39
(2 2 1), 2θ 29.96, intensity 54
(4 2 -1), 2θ 30.16, intensity 100
(6 0 0), 2θ 46.46, intensity 21
(4 6 -1), 2θ 51.63, intensity 23
(6 4 0), 2θ 55.47, intensity 25
(4 2 -4), 2θ 56.63, intensity 18

Structural model:
Cell: 13.471 12.487 6.732 Å, 90.00 119.46 90.00°
Space group Cm (No. 8)
Unique sites:
Ac: 0.000 0.000 0.000 [2 per cell]
Ac: 0.004 0.500 0.991 [2 per cell]
Ac: 0.009 0.258 0.351 [4 per cell]
Ac: 0.179 0.250 0.008 [4 per cell]
Ac: 0.180 0.000 0.669 [2 per cell]
Ac: 0.339 0.500 0.347 [2 per cell]
Sm: 0.338 0.252 0.668 [4 per cell]
Sm: 0.343 0.000 0.348 [2 per cell]
Er: 0.175 0.500 0.667 [2 per cell]

# 2
# Ac6Sm5Er
Simulated X-ray powder pattern, λ = 1.5418 Å (Cu Kα). Input: DFT lattice parameters and positions (PBE).
Peak positions follow from Bragg's law for the DFT cell and can differ from measured ones.

Peak list (8 most intense, 10 to 80 degrees two-theta, low angle first)
(1 2 3), 2θ 28.83, intensity 100
(2 0 0), 2θ 32.71, intensity 18
(0 0 6), 2θ 32.85, intensity 18
(0 4 0), 2θ 34.65, intensity 15
(2 0 6), 2θ 47.04, intensity 13
(3 2 3), 2θ 56.02, intensity 16
(1 2 9), 2θ 56.21, intensity 16
(1 6 3), 2θ 58.59, intensity 14

Structural model:
Cell: 5.476 10.354 16.357 Å, 90.00 90.00 90.00°
Space group Immm (No. 71)
Unique sites:
Ac: 0.000 0.248 0.000 [4 per cell]
Ac: 0.000 0.251 0.334 [8 per cell]
Sm: 0.000 0.000 0.167 [4 per cell]
Sm: 0.000 0.000 0.500 [2 per cell]
Sm: 0.000 0.500 0.166 [4 per cell]
Er: 0.000 0.500 0.500 [2 per cell]

# 3
# AcSm5Er
Simulated X-ray powder pattern, λ = 1.5418 Å (Cu Kα). Input: DFT lattice parameters and positions (PBE).
Peak positions follow from Bragg's law for the DFT cell and can differ from measured ones.

Peak list (8 most intense, 10 to 80 degrees two-theta, low angle first)
(1 1 -3), 2θ 24.63, intensity 16
(2 2 -2), 2θ 28.31, intensity 20
(2 0 2), 2θ 30.58, intensity 45
(1 3 1), 2θ 30.80, intensity 100
(3 1 -1), 2θ 31.46, intensity 17
(2 2 -3), 2θ 31.91, intensity 89
(3 3 3), 2θ 54.50, intensity 13
(1 5 -4), 2θ 55.55, intensity 13

Structural model:
Cell: 8.924 10.032 11.705 Å, 90.00 109.10 90.00°
Space group C2/c (No. 15)
Unique sites:
Ac: 0.250 0.250 0.000 [4 per cell]
Sm: 0.000 0.077 0.750 [4 per cell]
Sm: 0.127 0.426 0.670 [8 per cell]
Sm: 0.170 0.105 0.534 [8 per cell]
Er: 0.000 0.262 0.250 [4 per cell]

# 4
# Ac4SmEr2
Simulated X-ray powder pattern, λ = 1.5418 Å (Cu Kα). Input: DFT lattice parameters and positions (PBE).
Peak positions follow from Bragg's law for the DFT cell and can differ from measured ones.

Peak list (8 most intense, 10 to 80 degrees two-theta, low angle first)
(1 1 2), 2θ 23.46, intensity 13
(1 3 -2), 2θ 26.15, intensity 27
(2 2 0), 2θ 29.78, intensity 100
(0 4 2), 2θ 30.55, intensity 42
(1 1 4), 2θ 36.73, intensity 21
(1 3 5), 2θ 48.28, intensity 13
(2 6 0), 2θ 48.94, intensity 13
(0 8 0), 2θ 54.70, intensity 15

Structural model:
Cell: 6.996 13.418 12.476 Å, 90.00 106.28 90.00°
Space group Cc (No. 9)
Unique sites:
Ac: 0.000 0.006 0.000 [4 per cell]
Ac: 0.061 0.494 0.120 [4 per cell]
Ac: 0.250 0.256 0.501 [4 per cell]
Ac: 0.309 0.256 0.120 [4 per cell]
Sm: 0.280 0.125 0.810 [4 per cell]
Er: 0.004 0.125 0.258 [4 per cell]
Er: 0.056 0.375 0.862 [4 per cell]

# 5
# Ac2Sm4Er3
Simulated X-ray powder pattern, λ = 1.5418 Å (Cu Kα). Input: DFT lattice parameters and positions (PBE).
Peak positions follow from Bragg's law for the DFT cell and can differ from measured ones.

Peak list (8 most intense, 10 to 80 degrees two-theta, low angle first)
(0 2 4), 2θ 25.97, intensity 29
(2 0 0), 2θ 28.35, intensity 26
(1 3 3), 2θ 30.53, intensity 100
(0 4 2), 2θ 30.74, intensity 44
(1 1 5), 2θ 31.51, intensity 78
(2 2 0), 2θ 31.86, intensity 30
(2 2 2), 2θ 33.72, intensity 37
(2 2 8), 2θ 55.37, intensity 24

Structural model:
Cell: 6.295 12.440 16.454 Å, 90.00 90.00 90.00°
Space group Fmmm (No. 69)
Unique sites:
Ac: 0.000 0.000 0.117 [8 per cell]
Sm: 0.000 0.147 0.314 [16 per cell]
Er: 0.000 0.000 0.500 [4 per cell]
Er: 0.250 0.250 0.000 [8 per cell]

# 6
# Ac2Sm5Er4
Simulated X-ray powder pattern, λ = 1.5418 Å (Cu Kα). Input: DFT lattice parameters and positions (PBE).
Peak positions follow from Bragg's law for the DFT cell and can differ from measured ones.

Peak list (8 most intense, 10 to 80 degrees two-theta, low angle first)
(1 1 1), 2θ 29.96, intensity 100
(0 1 -4), 2θ 30.05, intensity 33
(1 -2 2), 2θ 34.55, intensity 23
(1 2 -3), 2θ 34.57, intensity 23
(0 2 3), 2θ 35.15, intensity 22
(1 4 0), 2θ 50.12, intensity 32
(2 3 -2), 2θ 59.03, intensity 20
(1 5 -4), 2θ 59.19, intensity 19

Structural model:
Cell: 3.679 8.935 12.070 Å, 105.01 98.74 90.03°
Space group P-1 (No. 2)
Unique sites:
Ac: 0.091 0.223 0.179 [2 per cell]
Sm: 0.000 0.500 0.000 [1 per cell]
Sm: 0.272 0.687 0.543 [2 per cell]
Sm: 0.362 0.402 0.725 [2 per cell]
Er: 0.182 0.953 0.365 [2 per cell]
Er: 0.450 0.143 0.901 [2 per cell]

# 7
# AcTbSm2Er5
Simulated X-ray powder pattern, λ = 1.5418 Å (Cu Kα). Input: DFT lattice parameters and positions (PBE).
Peak positions follow from Bragg's law for the DFT cell and can differ from measured ones.

Peak list (8 most intense, 10 to 80 degrees two-theta, low angle first)
(2 2 0), 2θ 28.55, intensity 86
(2 0 4), 2θ 30.86, intensity 100
(3 1 0), 2θ 32.02, intensity 16
(3 2 1), 2θ 37.10, intensity 28
(4 0 2), 2θ 42.57, intensity 20
(4 2 4), 2θ 52.04, intensity 23
(2 2 8), 2θ 56.26, intensity 19
(5 1 4), 2θ 58.38, intensity 15

Structural model:
Cell: 8.840 8.840 15.351 Å, 90.00 90.00 90.00°
Space group I4/mcm (No. 140)
Unique sites:
Ac: 0.000 0.000 0.250 [4 per cell]
Tb: 0.000 0.500 0.250 [4 per cell]
Sm: 0.116 0.384 0.000 [8 per cell]
Er: 0.000 0.000 0.000 [4 per cell]
Er: 0.206 0.294 0.369 [16 per cell]

# 8
# AcTbSm2Er4
Simulated X-ray powder pattern, λ = 1.5418 Å (Cu Kα). Input: DFT lattice parameters and positions (PBE).
Peak positions follow from Bragg's law for the DFT cell and can differ from measured ones.

Peak list (8 most intense, 10 to 80 degrees two-theta, low angle first)
(0 0 4), 2θ 26.56, intensity 45
(0 4 0), 2θ 29.99, intensity 100
(0 4 4), 2θ 40.49, intensity 88
(2 6 0), 2θ 53.30, intensity 13
(4 0 4), 2θ 60.36, intensity 9
(2 6 4), 2θ 60.53, intensity 18
(0 4 8), 2θ 63.65, intensity 23
(4 4 4), 2θ 68.89, intensity 12

Structural model:
Cell: 6.897 11.894 13.422 Å, 90.00 90.00 90.00°
Space group Imma (No. 74)
Unique sites:
Ac: 0.000 0.000 0.000 [4 per cell]
Tb: 0.250 0.250 0.250 [4 per cell]
Sm: 0.000 0.000 0.500 [4 per cell]
Sm: 0.250 0.250 0.750 [4 per cell]
Er: 0.000 0.002 0.258 [8 per cell]
Er: 0.237 0.250 0.498 [8 per cell]

# 9
# AcSm3ErTm
Simulated X-ray powder pattern, λ = 1.5418 Å (Cu Kα). Input: DFT lattice parameters and positions (PBE).
Peak positions follow from Bragg's law for the DFT cell and can differ from measured ones.

Peak list (8 most intense, 10 to 80 degrees two-theta, low angle first)
(5 1 1), 2θ 29.82, intensity 71
(3 1 -2), 2θ 31.17, intensity 100
(4 0 2), 2θ 31.76, intensity 24
(8 0 -1), 2θ 32.10, intensity 74
(0 2 0), 2θ 33.07, intensity 49
(4 2 2), 2θ 46.51, intensity 17
(8 2 -1), 2θ 46.78, intensity 23
(3 3 -2), 2θ 57.89, intensity 19

Structural model:
Cell: 23.043 5.417 7.109 Å, 90.00 98.30 90.00°
Space group C2/m (No. 12)
Unique sites:
Ac: 0.126 0.000 0.481 [4 per cell]
Sm: 0.021 0.000 0.784 [4 per cell]
Sm: 0.178 0.500 0.785 [4 per cell]
Sm: 0.225 0.500 0.308 [4 per cell]
Er: 0.166 0.000 0.026 [4 per cell]
Tm: 0.075 0.500 0.113 [4 per cell]

# 10
# Ac4ErSn4
Simulated X-ray powder pattern, λ = 1.5418 Å (Cu Kα). Input: DFT lattice parameters and positions (PBE).
Peak positions follow from Bragg's law for the DFT cell and can differ from measured ones.

Peak list (8 most intense, 10 to 80 degrees two-theta, low angle first)
(2 1 1), 2θ 24.02, intensity 32
(1 0 2), 2θ 27.47, intensity 45
(1 3 0), 2θ 28.71, intensity 100
(1 2 2), 2θ 33.07, intensity 53
(4 2 0), 2θ 41.06, intensity 28
(2 3 2), 2θ 42.30, intensity 32
(4 1 2), 2θ 46.33, intensity 30
(2 5 2), 2θ 57.12, intensity 16

Structural model:
Cell: 9.832 9.832 6.878 Å, 90.00 90.00 90.00°
Space group P4_2/n (No. 86, origin choice 2)
Unique sites:
Ac: 0.037 0.676 0.108 [8 per cell]
Er: 0.250 0.250 0.250 [2 per cell]
Sn: 0.007 0.643 0.597 [8 per cell]

# 11
# Ac3ErSn4
Simulated X-ray powder pattern, λ = 1.5418 Å (Cu Kα). Input: DFT lattice parameters and positions (PBE).
Peak positions follow from Bragg's law for the DFT cell and can differ from measured ones.

Peak list (8 most intense, 10 to 80 degrees two-theta, low angle first)
(2 1 1), 2θ 24.17, intensity 9
(2 0 2), 2θ 30.69, intensity 100
(4 0 0), 2θ 30.80, intensity 23
(0 2 2), 2θ 37.78, intensity 29
(4 2 2), 2θ 49.51, intensity 22
(0 0 4), 2θ 54.49, intensity 9
(6 0 2), 2θ 54.70, intensity 13
(2 2 4), 2θ 63.86, intensity 23

Structural model:
Cell: 11.611 6.739 6.735 Å, 90.00 90.00 90.00°
Space group Pmn2_1 (No. 31)
Unique sites:
Ac: 0.000 0.056 0.000 [2 per cell]
Ac: 0.247 0.271 0.689 [4 per cell]
Er: 0.000 0.519 0.445 [2 per cell]
Sn: 0.000 0.010 0.484 [2 per cell]
Sn: 0.000 0.541 0.946 [2 per cell]
Sn: 0.203 0.772 0.687 [4 per cell]

# 12
# AcErSn
Simulated X-ray powder pattern, λ = 1.5418 Å (Cu Kα). Input: DFT lattice parameters and positions (PBE).
Peak positions follow from Bragg's law for the DFT cell and can differ from measured ones.

Peak list (8 most intense, 10 to 80 degrees two-theta, low angle first)
(1 0 3), 2θ 23.92, intensity 31
(1 1 2), 2θ 28.19, intensity 100
(0 0 6), 2θ 30.31, intensity 32
(1 0 5), 2θ 31.42, intensity 55
(1 1 4), 2θ 33.30, intensity 92
(2 0 0), 2θ 37.52, intensity 70
(2 0 6), 2θ 48.97, intensity 34
(2 1 5), 2θ 49.72, intensity 32

Structural model:
Cell: 4.795 4.795 17.695 Å, 90.00 90.00 90.00°
Space group I4/mmm (No. 139)
Unique sites:
Ac: 0.000 0.000 0.176 [4 per cell]
Er: 0.000 0.500 0.000 [4 per cell]
Sn: 0.000 0.000 0.377 [4 per cell]